(1)
This entry pairs a crystal structure of TbZnPbS3 with its simulated X-ray powder pattern. Radiation: a wavelength of 1.5418 Å. Structure: a structure optimized by DFT (PBE).
Kinematic intensities with the Lorentz-polarization factor, no thermal factor.

Main lines, sorted by position (2θ = 5–70°):
| two_theta | Rel. int. |
| --- | --- |
| 21.77 | 65.8 |
| 24.64 | 33.1 |
| 26.87 | 27.1 |
| 31.24 | 60.6 |
| 34.71 | 100.0 |
| 34.89 | 28.3 |

Structural model:
Unit cell a=6.9355 b=6.9355 c=10.3550 alpha=90.00 beta=90.00 gamma=146.23
Sites, in units of the cell vectors:
1 Tb 0.0000 0.0000 0.0000
2 Tb 0.0000 0.0000 0.5000
3 Zn 0.4689 0.5311 0.7500
4 Zn 0.5311 0.4689 0.2500
5 Pb 0.2293 0.7707 0.2500
6 Pb 0.7707 0.2293 0.7500
7 S 0.0786 0.9214 0.7500
8 S 0.3646 0.6354 0.5593
9 S 0.3646 0.6354 0.9407
10 S 0.6354 0.3646 0.0593
11 S 0.6354 0.3646 0.4407
12 S 0.9214 0.0786 0.2500

=====

(2)
This entry pairs a crystal structure of HoTaN2O with its simulated X-ray powder pattern. Radiation: a wavelength of 1.5418 Å. Structure: a structure optimized by DFT (PBE).
Kinematic intensities with the Lorentz-polarization factor, no thermal factor.

Main lines, sorted by position (2θ = 5–70°):
| two_theta | Rel. int. |
| --- | --- |
| 32.04 | 100.0 |
| 32.31 | 21.5 |
| 46.11 | 16.9 |
| 57.02 | 22.6 |
| 57.46 | 17.1 |
| 67.03 | 10.5 |

Structural model:
Unit cell a=7.8730 b=7.9229 c=11.0814 alpha=90.00 beta=134.70 gamma=90.00
Sites, in units of the cell vectors:
1 Ho 0.2070 0.0129 0.4709
2 Ho 0.2070 0.4871 0.9709
3 Ho 0.2411 0.5021 0.4965
4 Ho 0.2411 0.9979 0.9965
5 Ho 0.7589 0.0021 0.0035
6 Ho 0.7589 0.4979 0.5035
7 Ho 0.7930 0.5129 0.0291
8 Ho 0.7930 0.9871 0.5291
9 Ta 0.2683 0.2495 0.2562
10 Ta 0.2683 0.2505 0.7562
11 Ta 0.2702 0.7437 0.7652
12 Ta 0.2702 0.7563 0.2652
13 Ta 0.7298 0.2437 0.7348
14 Ta 0.7298 0.2563 0.2348
15 Ta 0.7317 0.7495 0.2438
16 Ta 0.7317 0.7505 0.7438
17 N 0.1725 0.0049 0.1963
18 N 0.1725 0.4951 0.6963
19 N 0.2497 0.5046 0.2791
20 N 0.2497 0.9954 0.7791
21 N 0.4268 0.2348 0.6756
22 N 0.4268 0.2652 0.1756
23 N 0.4286 0.7107 0.0030
24 N 0.4286 0.7893 0.5030
25 N 0.5714 0.2107 0.4970
26 N 0.5714 0.2893 0.9970
27 N 0.5732 0.7348 0.8244
28 N 0.5732 0.7652 0.3244
29 N 0.7503 0.0046 0.2209
30 N 0.7503 0.4954 0.7209
31 N 0.8275 0.5049 0.3037
32 N 0.8275 0.9951 0.8037
33 O 0.0703 0.7118 0.0032
34 O 0.0703 0.7882 0.5032
35 O 0.0780 0.2442 0.8267
36 O 0.0780 0.2558 0.3267
37 O 0.9220 0.7442 0.6733
38 O 0.9220 0.7558 0.1733
39 O 0.9297 0.2118 0.4968
40 O 0.9297 0.2882 0.9968

=====

(3)
This entry pairs a crystal structure of Li8Pt4O11 with its simulated X-ray powder pattern. Radiation: a wavelength of 1.5418 Å. Structure: a structure optimized by DFT (PBE).
Kinematic intensities with the Lorentz-polarization factor, no thermal factor.

Main lines, sorted by position (2θ = 5–70°):
| two_theta | Rel. int. |
| --- | --- |
| 18.76 | 100.0 |
| 20.77 | 44.3 |
| 23.45 | 30.0 |
| 35.38 | 38.6 |
| 37.09 | 24.1 |
| 43.36 | 22.8 |

Structural model:
Unit cell a=5.0398 b=5.1576 c=8.8832 alpha=84.77 beta=74.59 gamma=79.95
Sites, in units of the cell vectors:
1 Li 0.0000 0.0000 0.0000
2 Li 0.0555 0.2361 0.4164
3 Li 0.1621 0.4957 0.8333
4 Li 0.3301 0.9929 0.6656
5 Li 0.4943 0.4981 0.5065
6 Li 0.5804 0.7525 0.9136
7 Li 0.6773 0.9719 0.3286
8 Li 0.8358 0.5070 0.1521
9 Pt 0.2572 0.7248 0.2411
10 Pt 0.4061 0.2646 0.0921
11 Pt 0.7445 0.2434 0.7495
12 Pt 0.9154 0.7409 0.5775
13 O 0.0462 0.1311 0.2114
14 O 0.1078 0.3727 0.6230
15 O 0.2074 0.6207 0.0393
16 O 0.2870 0.8457 0.4494
17 O 0.3846 0.1210 0.8736
18 O 0.5546 0.6137 0.7037
19 O 0.6048 0.8871 0.1299
20 O 0.7028 0.1115 0.5454
21 O 0.7747 0.3659 0.9560
22 O 0.8877 0.6120 0.3710
23 O 0.9538 0.8743 0.7795

=====

(4)
This entry pairs a crystal structure of Ho3Te5Os with its simulated X-ray powder pattern. Radiation: a wavelength of 1.5418 Å. Structure: a structure optimized by DFT (PBE).
Kinematic intensities with the Lorentz-polarization factor, no thermal factor.

Main lines, sorted by position (2θ = 5–70°):
| two_theta | Rel. int. |
| --- | --- |
| 11.81 | 39.4 |
| 31.41 | 100.0 |
| 31.59 | 30.5 |
| 33.67 | 47.4 |
| 35.96 | 66.6 |
| 39.76 | 61.7 |

Structural model:
Unit cell a=8.6518 b=8.6518 c=3.7830 alpha=90.00 beta=90.00 gamma=120.00
Sites, in units of the cell vectors:
1 Ho 0.0000 0.6463 0.0000
2 Ho 0.3537 0.3537 0.0000
3 Ho 0.6463 0.0000 0.0000
4 Te 0.0000 0.2265 0.5000
5 Te 0.2265 0.0000 0.5000
6 Te 0.3333 0.6667 0.5000
7 Te 0.6667 0.3333 0.5000
8 Te 0.7735 0.7735 0.5000
9 Os 0.0000 0.0000 0.0000

=====

(5)
This entry pairs a crystal structure of NpGeIr with its simulated X-ray powder pattern. Radiation: a wavelength of 1.5418 Å. Structure: a structure optimized by DFT (PBE).
Kinematic intensities with the Lorentz-polarization factor, no thermal factor.

Main lines, sorted by position (2θ = 5–70°):
| two_theta | Rel. int. |
| --- | --- |
| 34.00 | 31.7 |
| 35.06 | 40.9 |
| 35.28 | 100.0 |
| 41.32 | 43.6 |
| 41.88 | 31.0 |
| 55.74 | 22.2 |

Structural model:
Unit cell a=5.5751 b=5.5751 c=5.5751 alpha=134.48 beta=103.24 gamma=94.03
Sites, in units of the cell vectors:
1 Np 0.0000 0.0000 0.0000
2 Np 0.5955 0.0955 0.5000
3 Ge 0.1899 0.3861 0.8038
4 Ge 0.5823 0.3861 0.1962
5 Ir 0.4286 0.7134 0.7152
6 Ir 0.9982 0.7134 0.2848

=====

(6)
This entry pairs a crystal structure of GaPd9 with its simulated X-ray powder pattern. Radiation: a wavelength of 1.5418 Å. Structure: a structure optimized by DFT (PBE).
Kinematic intensities with the Lorentz-polarization factor, no thermal factor.

Main lines, sorted by position (2θ = 5–70°):
| two_theta | Rel. int. |
| --- | --- |
| 5.12 | 20.3 |
| 39.22 | 100.0 |
| 40.29 | 35.2 |
| 45.61 | 47.5 |
| 66.48 | 28.0 |
| 67.91 | 13.8 |

Structural model:
Unit cell a=2.8117 b=2.8117 c=51.7764 alpha=90.00 beta=90.00 gamma=90.00
Sites, in units of the cell vectors:
1 Ga 0.2500 0.2500 0.1432
2 Ga 0.7500 0.7500 0.8568
3 Pd 0.2500 0.2500 0.2169
4 Pd 0.2500 0.2500 0.2930
5 Pd 0.2500 0.2500 0.3684
6 Pd 0.2500 0.2500 0.4437
7 Pd 0.2500 0.2500 0.5188
8 Pd 0.2500 0.2500 0.5940
9 Pd 0.2500 0.2500 0.6694
10 Pd 0.2500 0.2500 0.7449
11 Pd 0.2500 0.2500 0.8226
12 Pd 0.7500 0.7500 0.1774
13 Pd 0.7500 0.7500 0.2551
14 Pd 0.7500 0.7500 0.3306
15 Pd 0.7500 0.7500 0.4060
16 Pd 0.7500 0.7500 0.4812
17 Pd 0.7500 0.7500 0.5563
18 Pd 0.7500 0.7500 0.6316
19 Pd 0.7500 0.7500 0.7070
20 Pd 0.7500 0.7500 0.7831

=====

(7)
This entry pairs a crystal structure of YNiHgB with its simulated X-ray powder pattern. Radiation: a wavelength of 1.5418 Å. Structure: a structure optimized by DFT (PBE).
Kinematic intensities with the Lorentz-polarization factor, no thermal factor.

Main lines, sorted by position (2θ = 5–70°):
| two_theta | Rel. int. |
| --- | --- |
| 24.13 | 27.2 |
| 27.94 | 45.5 |
| 39.92 | 100.0 |
| 47.20 | 14.9 |
| 57.74 | 16.7 |
| 65.34 | 17.7 |

Structural model:
Unit cell a=4.5164 b=4.5164 c=4.5164 alpha=60.00 beta=60.00 gamma=60.00
Sites, in units of the cell vectors:
1 Y 0.0000 0.0000 0.0000
2 Ni 0.2500 0.2500 0.2500
3 Hg 0.5000 0.5000 0.5000
4 B 0.7500 0.7500 0.7500

=====

(8)
This entry pairs a crystal structure of ZnNi2B with its simulated X-ray powder pattern. Radiation: a wavelength of 1.5418 Å. Structure: a structure optimized by DFT (PBE).
Kinematic intensities with the Lorentz-polarization factor, no thermal factor.

Main lines, sorted by position (2θ = 5–70°):
| two_theta | Rel. int. |
| --- | --- |
| 35.91 | 40.2 |
| 41.41 | 50.9 |
| 42.58 | 17.6 |
| 44.77 | 56.5 |
| 45.18 | 100.0 |
| 47.37 | 31.7 |

Structural model:
Unit cell a=4.9883 b=4.9883 c=6.0257 alpha=92.85 beta=92.85 gamma=33.20
Sites, in units of the cell vectors:
1 Zn 0.1307 0.1307 0.4677
2 Zn 0.8693 0.8693 0.5323
3 Ni 0.2710 0.2710 0.8365
4 Ni 0.4605 0.4605 0.1971
5 Ni 0.5395 0.5395 0.8029
6 Ni 0.7290 0.7290 0.1635
7 B 0.0940 0.0940 0.0499
8 B 0.9060 0.9060 0.9501

=====

(9)
This entry pairs a crystal structure of TbYCd4 with its simulated X-ray powder pattern. Radiation: a wavelength of 1.5418 Å. Structure: a structure optimized by DFT (PBE).
Kinematic intensities with the Lorentz-polarization factor, no thermal factor.

Main lines, sorted by position (2θ = 5–70°):
| two_theta | Rel. int. |
| --- | --- |
| 33.36 | 100.0 |
| 36.30 | 87.0 |
| 50.10 | 26.0 |
| 63.41 | 20.0 |
| 63.50 | 10.0 |
| 66.07 | 28.7 |

Structural model:
Unit cell a=3.4461 b=4.9559 c=8.5639 alpha=90.00 beta=90.08 gamma=90.00
Sites, in units of the cell vectors:
1 Tb 0.0000 0.0000 0.0000
2 Y 0.0000 0.5000 0.5000
3 Cd 0.4991 0.0000 0.3332
4 Cd 0.4994 0.5000 0.8327
5 Cd 0.5009 0.0000 0.6668
6 Cd 0.5006 0.5000 0.1673

=====

(10)
This entry pairs a crystal structure of Cu7Ag3 with its simulated X-ray powder pattern. Radiation: a wavelength of 1.5418 Å. Structure: a structure optimized by DFT (PBE).
Kinematic intensities with the Lorentz-polarization factor, no thermal factor.

Main lines, sorted by position (2θ = 5–70°):
| two_theta | Rel. int. |
| --- | --- |
| 31.46 | 12.6 |
| 40.90 | 96.8 |
| 41.56 | 100.0 |
| 46.46 | 65.8 |
| 50.91 | 26.8 |
| 68.75 | 10.2 |

Structural model:
Unit cell a=7.3504 b=7.3504 c=4.5062 alpha=94.68 beta=94.68 gamma=144.27
Sites, in units of the cell vectors:
1 Cu 0.0000 0.0000 0.0000
2 Cu 0.2255 0.7745 0.0000
3 Cu 0.3209 0.6791 0.5000
4 Cu 0.4090 0.5910 0.0000
5 Cu 0.4991 0.5009 0.5000
6 Cu 0.8212 0.1788 0.0000
7 Cu 0.9137 0.0863 0.5000
8 Ag 0.1077 0.8923 0.5000
9 Ag 0.6063 0.3937 0.0000
10 Ag 0.7234 0.2766 0.5000

=====

(11)
This entry pairs a crystal structure of GdTmZn6 with its simulated X-ray powder pattern. Radiation: a wavelength of 1.5418 Å. Structure: a structure optimized by DFT (PBE).
Kinematic intensities with the Lorentz-polarization factor, no thermal factor.

Main lines, sorted by position (2θ = 5–70°):
| two_theta | Rel. int. |
| --- | --- |
| 23.38 | 13.8 |
| 38.64 | 100.0 |
| 55.62 | 5.6 |
| 55.87 | 11.1 |
| 69.80 | 11.1 |
| 69.97 | 22.0 |

Structural model:
Unit cell a=4.6543 b=6.6098 c=4.6545 alpha=90.00 beta=90.00 gamma=90.00
Sites, in units of the cell vectors:
1 Gd 0.0000 0.0000 0.0000
2 Tm 0.5000 0.5000 0.4923
3 Zn 0.0000 0.2545 0.5007
4 Zn 0.0000 0.5000 0.9997
5 Zn 0.0000 0.7455 0.5007
6 Zn 0.5000 0.0000 0.4937
7 Zn 0.5000 0.2545 0.9919
8 Zn 0.5000 0.7455 0.9919

=====

(12)
This entry pairs a crystal structure of Zr3Sc2Zn3 with its simulated X-ray powder pattern. Radiation: a wavelength of 1.5418 Å. Structure: a structure optimized by DFT (PBE).
Kinematic intensities with the Lorentz-polarization factor, no thermal factor.

Main lines, sorted by position (2θ = 5–70°):
| two_theta | Rel. int. |
| --- | --- |
| 33.57 | 32.6 |
| 35.90 | 47.6 |
| 38.21 | 100.0 |
| 38.78 | 60.3 |
| 49.97 | 20.2 |
| 66.08 | 23.1 |

Structural model:
Unit cell a=5.0024 b=6.0925 c=6.0925 alpha=61.20 beta=90.00 gamma=90.00
Sites, in units of the cell vectors:
1 Zr 0.0000 0.0000 0.0000
2 Zr 0.5000 0.3177 0.8294
3 Zr 0.5000 0.8294 0.3177
4 Sc 0.0000 0.4526 0.4526
5 Sc 0.5000 0.8233 0.8233
6 Zn 0.0000 0.5165 0.9275
7 Zn 0.0000 0.9275 0.5165
8 Zn 0.5000 0.3192 0.3192